No. 1
Simulated XRD peak list of Pm6SmDy3 for copper Kα, from a crystal structure in Alexandria, relaxed with PBE.
Intensities are scaled so that the largest is 100.

Atomic structure:
Unit cell a=9.8064 b=21.3704 c=6.4555 alpha=90.00 beta=90.00 gamma=90.00
Space group Cmc2_1 (No. 36)
Inequivalent atoms, fractional coordinates:
Pm 0.0000 0.0152 0.0000 [4 per cell]
Pm 0.0000 0.3007 0.0091 [4 per cell]
Pm 0.1744 0.2813 0.4821 [8 per cell]
Pm 0.1794 0.4405 0.2345 [8 per cell]
Sm 0.0000 0.1581 0.7973 [4 per cell]
Dy 0.0000 0.4193 0.7143 [4 per cell]
Dy 0.1680 0.1265 0.3212 [8 per cell]

Main lines, in order of rising 2θ (2θ = 5–70°):
| d/Å | I/Imax |
| --- | --- |
| 3.152 | 59 |
| 2.915 | 60 |
| 2.889 | 100 |
| 2.816 | 55 |
| 2.763 | 39 |
| 2.699 | 59 |

***

No. 2
Simulated XRD peak list of Pm3Sm6Dy2 for copper Kα, from a crystal structure in Alexandria, relaxed with PBE.
Intensities are scaled so that the largest is 100.

Atomic structure:
Unit cell a=6.2609 b=8.0761 c=8.1067 alpha=107.46 beta=104.82 gamma=97.42
Space group P-1 (No. 2)
Inequivalent atoms, fractional coordinates:
Pm 0.0000 0.0000 0.0000 [1 per cell]
Pm 0.3634 0.2713 0.4550 [2 per cell]
Sm 0.1819 0.6356 0.7267 [2 per cell]
Sm 0.2717 0.4542 0.0904 [2 per cell]
Sm 0.4545 0.0911 0.8172 [2 per cell]
Dy 0.0905 0.8187 0.3641 [2 per cell]

Main lines, in order of rising 2θ (2θ = 5–70°):
| d/Å | I/Imax |
| --- | --- |
| 2.958 | 100 |
| 2.951 | 99 |
| 2.560 | 67 |
| 2.555 | 34 |
| 1.808 | 36 |
| 1.541 | 36 |